Entry 1:
Diffraction record for CoH6C12N2O6. The PXRD pattern is simulated, not measured: it uses a cell relaxed with GGA+U and Cu Kα, 1.54184 Å.
No peak broadening, texture or thermal motion is included.

Cell: 6.681 10.111 7.986 Å, 90.00 116.64 90.00°
Space group P2_1/c (No. 14)
Asymmetric unit:
Co1 0.000 0.000 0.000 [2 per cell]
H1 0.157 0.232 0.274 [4 per cell]
H2 0.311 0.044 0.517 [4 per cell]
H3 0.353 0.661 0.762 [4 per cell]
C1 0.015 0.232 0.649 [4 per cell]
C2 0.059 0.600 0.854 [4 per cell]
C3 0.250 0.556 0.014 [4 per cell]
C4 0.268 0.730 0.649 [4 per cell]
C5 0.353 0.643 0.162 [4 per cell]
C6 0.436 0.123 0.159 [4 per cell]
N1 0.089 0.687 0.498 [4 per cell]
O1 0.054 0.020 0.789 [4 per cell]
O2 0.303 0.035 0.174 [4 per cell]
O3 0.400 0.195 0.023 [4 per cell]

The 10 most intense peaks (2θ from 10° to 90°), in order of rising 2θ:
14.8 deg, I 79
15.2 deg, I 100
16.9 deg, I 77
22.6 deg, I 50
22.8 deg, I 81
23.0 deg, I 41
30.3 deg, I 25
30.5 deg, I 55
37.3 deg, I 28
38.6 deg, I 27

Entry 2:
Diffraction record for CoH12C6N2O6. The PXRD pattern is simulated, not measured: it uses a cell relaxed with GGA+U and Cu Kα, 1.54184 Å.
No peak broadening, texture or thermal motion is included.

Cell: 5.443 8.425 9.625 Å, 90.00 100.79 90.00°
Space group P2_1 (No. 4)
Asymmetric unit:
Co1 0.022 0.000 0.300 [2 per cell]
H1 0.028 0.450 0.229 [2 per cell]
H2 0.087 0.794 0.991 [2 per cell]
H3 0.222 0.292 0.889 [2 per cell]
H4 0.236 0.599 0.482 [2 per cell]
H5 0.246 0.911 0.646 [2 per cell]
H6 0.269 0.739 0.288 [2 per cell]
H7 0.298 0.362 0.181 [2 per cell]
H8 0.317 0.473 0.931 [2 per cell]
H9 0.418 0.598 0.115 [2 per cell]
H10 0.435 0.640 0.783 [2 per cell]
H11 0.454 0.849 0.402 [2 per cell]
H12 0.486 0.295 0.370 [2 per cell]
C1 0.002 0.411 0.006 [2 per cell]
C2 0.094 0.242 0.526 [2 per cell]
C3 0.151 0.451 0.151 [2 per cell]
C4 0.187 0.726 0.485 [2 per cell]
C5 0.215 0.027 0.035 [2 per cell]
C6 0.312 0.790 0.630 [2 per cell]
N1 0.160 0.406 0.897 [2 per cell]
N2 0.269 0.815 0.372 [2 per cell]
O1 0.205 0.358 0.596 [2 per cell]
O2 0.206 0.145 0.458 [2 per cell]
O3 0.257 0.606 0.149 [2 per cell]
O4 0.268 0.689 0.742 [2 per cell]
O5 0.277 0.069 0.165 [2 per cell]
O6 0.327 0.071 0.938 [2 per cell]

The 10 most intense peaks (2θ from 10° to 90°), in order of rising 2θ:
14.1 deg, I 100
16.6 deg, I 60
20.4 deg, I 34
21.6 deg, I 27
23.1 deg, I 55
25.0 deg, I 19
26.9 deg, I 20
29.6 deg, I 15
34.8 deg, I 21
41.8 deg, I 12

Entry 3:
Diffraction record for CoH16C12N2O10. The PXRD pattern is simulated, not measured: it uses a cell relaxed with GGA+U and Cu Kα, 1.54184 Å.
No peak broadening, texture or thermal motion is included.

Cell: 6.733 7.008 8.597 Å, 67.95 72.06 66.92°
Space group P-1 (No. 2)
Asymmetric unit:
Co1 0.000 0.000 0.000 [1 per cell]
H1 0.104 0.267 0.628 [2 per cell]
H2 0.146 0.623 0.868 [2 per cell]
H3 0.231 0.304 0.812 [2 per cell]
H4 0.248 0.213 0.011 [2 per cell]
H5 0.288 0.625 0.164 [2 per cell]
H6 0.289 0.472 0.486 [2 per cell]
H7 0.351 0.833 0.318 [2 per cell]
H8 0.417 0.757 0.988 [2 per cell]
C1 0.156 0.106 0.615 [2 per cell]
C2 0.174 0.748 0.748 [2 per cell]
C3 0.246 0.068 0.456 [2 per cell]
C4 0.249 0.699 0.592 [2 per cell]
C5 0.289 0.862 0.443 [2 per cell]
C6 0.298 0.246 0.303 [2 per cell]
N1 0.124 0.947 0.758 [2 per cell]
O1 0.161 0.235 0.927 [2 per cell]
O2 0.280 0.422 0.328 [2 per cell]
O3 0.281 0.494 0.599 [2 per cell]
O4 0.283 0.771 0.079 [2 per cell]
O5 0.360 0.214 0.158 [2 per cell]

The 10 most intense peaks (2θ from 10° to 90°), in order of rising 2θ:
14.4 deg, I 38
14.6 deg, I 26
16.1 deg, I 18
17.0 deg, I 23
20.8 deg, I 40
23.1 deg, I 24
23.5 deg, I 21
29.4 deg, I 100
29.7 deg, I 18
40.6 deg, I 22

Entry 4:
Diffraction record for CoPH10C3NO8. The PXRD pattern is simulated, not measured: it uses a cell relaxed with GGA+U and Cu Kα, 1.54184 Å.
No peak broadening, texture or thermal motion is included.

Cell: 5.350 9.789 7.463 Å, 90.00 98.62 90.00°
Space group P2_1 (No. 4)
Asymmetric unit:
Co1 0.145 0.000 0.022 [2 per cell]
P1 0.363 0.311 0.080 [2 per cell]
H1 0.013 0.125 0.693 [2 per cell]
H2 0.072 0.324 0.385 [2 per cell]
H3 0.086 0.721 0.980 [2 per cell]
H4 0.116 0.485 0.652 [2 per cell]
H5 0.267 0.035 0.685 [2 per cell]
H6 0.300 0.190 0.401 [2 per cell]
H7 0.311 0.555 0.516 [2 per cell]
H8 0.318 0.286 0.701 [2 per cell]
H9 0.323 0.623 0.953 [2 per cell]
H10 0.418 0.537 0.735 [2 per cell]
C1 0.274 0.301 0.412 [2 per cell]
C2 0.322 0.838 0.375 [2 per cell]
C3 0.389 0.349 0.598 [2 per cell]
N1 0.304 0.491 0.627 [2 per cell]
O1 0.093 0.342 0.990 [2 per cell]
O2 0.116 0.045 0.742 [2 per cell]
O3 0.136 0.626 0.947 [2 per cell]
O4 0.197 0.947 0.335 [2 per cell]
O5 0.234 0.720 0.396 [2 per cell]
O6 0.398 0.156 0.099 [2 per cell]
O7 0.406 0.372 0.284 [2 per cell]
O8 0.441 0.879 0.014 [2 per cell]

The 10 most intense peaks (2θ from 10° to 90°), in order of rising 2θ:
12.0 deg, I 100
18.1 deg, I 28
19.1 deg, I 41
21.2 deg, I 35
24.1 deg, I 30
24.8 deg, I 35
25.8 deg, I 23
28.7 deg, I 25
32.2 deg, I 27
36.5 deg, I 23